Computed powder diffractogram of HoTiBO5 for Cu Kα (weighted mean of Kα1 and Kα2), from a structure optimized by DFT (PBE).
No peak broadening, texture or thermal motion is included.

Main lines, by angle (2θ = 10–90°):
index, two_theta, intensity
1 1 -1, 19.45, 100
0 2 1, 25.42, 58
1 1 1, 26.68, 42
0 0 2, 28.26, 25
1 1 -2, 28.57, 65
2 0 0, 30.78, 62
1 3 0, 35.51, 89
1 1 -3, 41.06, 33
2 2 1, 44.52, 24
3 1 -1, 44.72, 26
0 4 1, 45.40, 21
1 3 -4, 64.14, 21

Structure:
abc: 6.2843 8.4237 6.8323
angles: 90.00 112.41 90.00
Space group C2/c (No. 15)
Inequivalent atoms, fractional coordinates:
1 Ho 0.0000 0.1583 0.2500 (multiplicity 4)
2 Ti 0.0000 0.5000 0.0000 (multiplicity 4)
3 B 0.0000 0.1805 0.7500 (multiplicity 4)
4 O 0.0000 0.4168 0.2500 (multiplicity 4)
5 O 0.1052 0.2808 0.6282 (multiplicity 8)
6 O 0.1710 0.0705 0.9087 (multiplicity 8)

***

Computed powder diffractogram of RbPrCd for Cu Kα (weighted mean of Kα1 and Kα2), from a structure optimized by DFT (PBE).
No peak broadening, texture or thermal motion is included.

Main lines, by angle (2θ = 10–90°):
index, two_theta, intensity
0 1 1, 26.36, 18
0 0 2, 26.92, 19
6 0 0, 28.63, 23
3 1 1, 30.07, 100
3 0 2, 30.56, 23
4 0 2, 33.15, 18
5 1 1, 35.80, 12
5 0 2, 36.23, 12
0 2 0, 46.19, 12
0 1 3, 47.25, 23
1 1 3, 47.48, 17
4 0 4, 59.16, 17

Structure:
abc: 18.7019 3.9307 6.6246
angles: 90.00 90.00 90.00
Space group Amm2 (No. 38)
Inequivalent atoms, fractional coordinates:
1 Rb 0.1645 0.0000 0.0000 (multiplicity 4)
2 Pr 0.3690 0.0000 0.5591 (multiplicity 4)
3 Cd 0.0000 0.0000 0.6597 (multiplicity 2)
4 Cd 0.5000 0.0000 0.8984 (multiplicity 2)

***

Computed powder diffractogram of Rb3Hg2Sb3 for Cu Kα (weighted mean of Kα1 and Kα2), from a structure optimized by DFT (PBE).
No peak broadening, texture or thermal motion is included.

Main lines, by angle (2θ = 10–90°):
index, two_theta, intensity
0 2 1, 13.74, 73
0 2 3, 19.39, 57
0 4 0, 25.90, 22
1 3 0, 26.33, 67
1 1 4, 27.03, 100
0 4 4, 32.46, 51
1 3 4, 32.80, 26
2 0 0, 35.79, 48
1 3 5, 35.99, 67
2 2 1, 38.53, 19
2 4 4, 49.08, 32
1 7 7, 61.67, 19

Structure:
abc: 5.0177 13.7600 18.4687
angles: 90.00 90.00 90.00
Space group Cmcm (No. 63)
Inequivalent atoms, fractional coordinates:
1 Rb 0.0000 0.0286 0.2500 (multiplicity 4)
2 Rb 0.0000 0.3447 0.0985 (multiplicity 8)
3 Hg 0.0000 0.3751 0.6244 (multiplicity 8)
4 Sb 0.0000 0.0816 0.0496 (multiplicity 8)
5 Sb 0.0000 0.2529 0.7500 (multiplicity 4)